Entry 1:
For Mg3As2O8, DFT lattice parameters and positions (PBE) gives the simulated powder X-ray diffraction pattern in this record (Cu Kα (λ = 1.5418 Å)).
Peak positions follow from Bragg's law for the DFT cell and can differ from measured ones.

The 12 most intense peaks (2θ from 5° to 70°), by angle:
Position (°2θ), I/Imax
19.62, 68
27.09, 100
29.18, 26
29.62, 66
31.28, 40
34.96, 91
35.15, 44
36.04, 55
36.47, 26
43.62, 32
58.08, 30
63.12, 68

Atomic structure:
```
data_Mg3As2O8
_chemical_formula_sum 'Mg6 As4 O16'
_space_group_name_H-M_alt 'P 1'
_space_group_IT_number 1
_space_group_name_Hall 'P 1'
_cell_length_a 6.487
_cell_length_b 6.487
_cell_length_c 8.306
_cell_angle_alpha 90.00
_cell_angle_beta 90.00
_cell_angle_gamma 123.70
loop_
_atom_site_label
_atom_site_fract_x
_atom_site_fract_y
_atom_site_fract_z
Mg1 0.000 0.000 0.000
Mg2 0.111 0.389 0.250
Mg3 0.389 0.111 0.750
Mg4 0.500 0.500 0.500
Mg5 0.611 0.889 0.250
Mg6 0.889 0.611 0.750
As1 0.120 0.880 0.385
As2 0.380 0.620 0.885
As3 0.620 0.380 0.115
As4 0.880 0.120 0.615
O1 0.001 0.999 0.750
O2 0.114 0.351 0.500
O3 0.149 0.386 0.000
O4 0.247 0.753 0.273
O5 0.253 0.747 0.773
O6 0.351 0.114 0.500
O7 0.386 0.149 0.000
O8 0.499 0.501 0.250
O9 0.501 0.499 0.750
O10 0.614 0.851 0.000
O11 0.649 0.886 0.500
O12 0.747 0.253 0.227
O13 0.753 0.247 0.727
O14 0.851 0.614 0.000
O15 0.886 0.649 0.500
O16 0.999 0.001 0.250
```

---

Entry 2:
For Ba5Y3I19, DFT lattice parameters and positions (PBE) gives the simulated powder X-ray diffraction pattern in this record (Cu Kα (λ = 1.5418 Å)).
Peak positions follow from Bragg's law for the DFT cell and can differ from measured ones.

The 12 most intense peaks (2θ from 5° to 70°), by angle:
Position (°2θ), I/Imax
15.29, 54
24.46, 80
25.18, 91
25.45, 51
25.66, 100
26.55, 54
26.74, 67
27.10, 62
27.65, 53
28.32, 72
30.49, 57
31.08, 53

Atomic structure:
```
data_Ba5Y3I19
_chemical_formula_sum 'Ba10 Y6 I38'
_space_group_name_H-M_alt 'P 1'
_space_group_IT_number 1
_space_group_name_Hall 'P 1'
_cell_length_a 11.826
_cell_length_b 14.901
_cell_length_c 16.664
_cell_angle_alpha 86.87
_cell_angle_beta 70.06
_cell_angle_gamma 78.54
loop_
_atom_site_label
_atom_site_fract_x
_atom_site_fract_y
_atom_site_fract_z
Ba1 0.059 0.190 0.150
Ba2 0.196 0.189 0.739
Ba3 0.262 0.667 0.301
Ba4 0.336 0.414 0.934
Ba5 0.391 0.282 0.332
Ba6 0.609 0.718 0.668
Ba7 0.664 0.586 0.066
Ba8 0.738 0.333 0.699
Ba9 0.804 0.811 0.261
Ba10 0.941 0.810 0.850
Y1 0.164 0.538 0.669
Y2 0.257 0.000 0.484
Y3 0.334 0.815 0.020
Y4 0.666 0.185 0.980
Y5 0.743 0.000 0.516
Y6 0.836 0.462 0.331
I1 0.000 0.000 0.500
I2 0.003 0.606 0.290
I3 0.058 0.311 0.330
I4 0.066 0.572 0.862
I5 0.105 0.847 0.183
I6 0.134 0.269 0.941
I7 0.184 0.963 0.677
I8 0.199 0.206 0.528
I9 0.227 0.809 0.882
I10 0.242 0.496 0.475
I11 0.298 0.018 0.012
I12 0.326 0.611 0.051
I13 0.339 0.663 0.640
I14 0.341 0.805 0.426
I15 0.346 0.063 0.301
I16 0.349 0.377 0.705
I17 0.392 0.249 0.101
I18 0.458 0.468 0.212
I19 0.464 0.792 0.156
I20 0.500 0.000 0.500
I21 0.536 0.208 0.844
I22 0.542 0.532 0.788
I23 0.608 0.751 0.899
I24 0.651 0.623 0.295
I25 0.654 0.937 0.699
I26 0.659 0.195 0.574
I27 0.661 0.337 0.360
I28 0.674 0.389 0.949
I29 0.702 0.982 0.988
I30 0.758 0.504 0.525
I31 0.773 0.191 0.118
I32 0.801 0.794 0.472
I33 0.816 0.037 0.323
I34 0.866 0.731 0.059
I35 0.895 0.153 0.817
I36 0.934 0.428 0.138
I37 0.942 0.689 0.670
I38 0.997 0.394 0.710
```

---

Entry 3:
For BaSrCe2O6, DFT lattice parameters and positions (PBE) gives the simulated powder X-ray diffraction pattern in this record (Cu Kα (λ = 1.5418 Å)).
Peak positions follow from Bragg's law for the DFT cell and can differ from measured ones.

The 12 most intense peaks (2θ from 5° to 70°), by angle:
Position (°2θ), I/Imax
20.23, 6
28.57, 24
28.77, 100
28.95, 24
41.12, 26
41.17, 13
50.72, 19
50.86, 11
51.13, 23
51.23, 12
59.59, 15
67.53, 13

Atomic structure:
```
data_BaSrCe2O6
_chemical_formula_sum 'Ba2 Sr2 Ce4 O12'
_space_group_name_H-M_alt 'P 1'
_space_group_IT_number 1
_space_group_name_Hall 'P 1'
_cell_length_a 6.169
_cell_length_b 8.773
_cell_length_c 6.249
_cell_angle_alpha 90.00
_cell_angle_beta 90.13
_cell_angle_gamma 90.00
loop_
_atom_site_label
_atom_site_fract_x
_atom_site_fract_y
_atom_site_fract_z
Ba1 0.008 0.250 0.035
Ba2 0.992 0.750 0.965
Sr1 0.490 0.250 0.538
Sr2 0.510 0.750 0.462
Ce1 0.000 0.000 0.500
Ce2 0.000 0.500 0.500
Ce3 0.500 0.000 0.000
Ce4 0.500 0.500 0.000
O1 0.103 0.750 0.518
O2 0.209 0.043 0.790
O3 0.209 0.457 0.790
O4 0.295 0.054 0.295
O5 0.295 0.446 0.295
O6 0.419 0.750 0.047
O7 0.581 0.250 0.953
O8 0.705 0.554 0.705
O9 0.705 0.946 0.705
O10 0.791 0.543 0.210
O11 0.791 0.957 0.210
O12 0.897 0.250 0.482
```

---

Entry 4:
For NdGe2Pt, DFT lattice parameters and positions (PBE) gives the simulated powder X-ray diffraction pattern in this record (Cu Kα (λ = 1.5418 Å)).
Peak positions follow from Bragg's law for the DFT cell and can differ from measured ones.

The 12 most intense peaks (2θ from 5° to 70°), by angle:
Position (°2θ), I/Imax
10.64, 14
19.99, 18
25.69, 16
32.77, 100
33.66, 41
38.09, 13
38.28, 31
40.61, 56
48.70, 20
53.74, 15
57.02, 20
68.95, 37

Atomic structure:
```
data_NdGe2Pt
_chemical_formula_sum 'Nd4 Ge8 Pt4'
_space_group_name_H-M_alt 'P 1'
_space_group_IT_number 1
_space_group_name_Hall 'P 1'
_cell_length_a 9.684
_cell_length_b 9.684
_cell_length_c 9.684
_cell_angle_alpha 153.47
_cell_angle_beta 125.41
_cell_angle_gamma 61.70
loop_
_atom_site_label
_atom_site_fract_x
_atom_site_fract_y
_atom_site_fract_z
Nd1 0.204 0.204 0.000
Nd2 0.238 0.000 0.238
Nd3 0.762 0.000 0.762
Nd4 0.796 0.796 0.000
Ge1 0.075 0.575 0.500
Ge2 0.150 0.802 0.348
Ge3 0.425 0.425 0.000
Ge4 0.454 0.802 0.652
Ge5 0.546 0.198 0.348
Ge6 0.575 0.575 0.000
Ge7 0.850 0.198 0.652
Ge8 0.925 0.425 0.500
Pt1 0.103 0.351 0.752
Pt2 0.401 0.649 0.752
Pt3 0.599 0.351 0.248
Pt4 0.897 0.649 0.248
```

---

Entry 5:
For ZrRu3C, DFT lattice parameters and positions (PBE) gives the simulated powder X-ray diffraction pattern in this record (Cu Kα (λ = 1.5418 Å)).
Peak positions follow from Bragg's law for the DFT cell and can differ from measured ones.

The 4 most intense peaks (2θ from 5° to 70°), by angle:
Position (°2θ), I/Imax
21.66, 1
37.99, 100
44.15, 54
64.21, 34

Atomic structure:
```
data_ZrRu3C
_chemical_formula_sum 'Zr1 Ru3 C1'
_space_group_name_H-M_alt 'P 1'
_space_group_IT_number 1
_space_group_name_Hall 'P 1'
_cell_length_a 4.103
_cell_length_b 4.103
_cell_length_c 4.103
_cell_angle_alpha 90.00
_cell_angle_beta 90.00
_cell_angle_gamma 90.00
loop_
_atom_site_label
_atom_site_fract_x
_atom_site_fract_y
_atom_site_fract_z
Zr1 0.000 0.000 0.000
Ru1 0.000 0.500 0.500
Ru2 0.500 0.000 0.500
Ru3 0.500 0.500 0.000
C1 0.500 0.500 0.500
```

---

Entry 6:
For Cr8Cu3NiS16, DFT lattice parameters and positions (PBE) gives the simulated powder X-ray diffraction pattern in this record (Cu Kα (λ = 1.5418 Å)).
Peak positions follow from Bragg's law for the DFT cell and can differ from measured ones.

The 12 most intense peaks (2θ from 5° to 70°), by angle:
Position (°2θ), I/Imax
15.64, 5
25.67, 37
30.20, 100
31.57, 2
36.62, 42
45.26, 14
48.17, 44
52.75, 86
59.56, 6
61.99, 11
65.93, 8
68.23, 1

Atomic structure:
```
data_Cr8Cu3NiS16
_chemical_formula_sum 'Cr8 Cu3 Ni1 S16'
_space_group_name_H-M_alt 'P 1'
_space_group_IT_number 1
_space_group_name_Hall 'P 1'
_cell_length_a 12.021
_cell_length_b 12.021
_cell_length_c 12.021
_cell_angle_alpha 33.57
_cell_angle_beta 33.57
_cell_angle_gamma 33.57
loop_
_atom_site_label
_atom_site_fract_x
_atom_site_fract_y
_atom_site_fract_z
Cr1 0.000 0.000 0.000
Cr2 0.249 0.249 0.751
Cr3 0.249 0.751 0.249
Cr4 0.251 0.749 0.749
Cr5 0.500 0.500 0.500
Cr6 0.749 0.251 0.749
Cr7 0.749 0.749 0.251
Cr8 0.751 0.249 0.249
Cu1 0.187 0.187 0.187
Cu2 0.312 0.312 0.312
Cu3 0.687 0.687 0.687
Ni1 0.812 0.812 0.812
S1 0.113 0.113 0.644
S2 0.113 0.644 0.113
S3 0.121 0.121 0.121
S4 0.140 0.616 0.616
S5 0.356 0.887 0.887
S6 0.379 0.379 0.379
S7 0.387 0.387 0.855
S8 0.387 0.855 0.387
S9 0.616 0.140 0.616
S10 0.616 0.616 0.140
S11 0.621 0.621 0.621
S12 0.644 0.113 0.113
S13 0.855 0.387 0.387
S14 0.878 0.878 0.878
S15 0.887 0.356 0.887
S16 0.887 0.887 0.356
```

---

Entry 7:
For LiAl, DFT lattice parameters and positions (PBE) gives the simulated powder X-ray diffraction pattern in this record (Cu Kα (λ = 1.5418 Å)).
Peak positions follow from Bragg's law for the DFT cell and can differ from measured ones.

The 12 most intense peaks (2θ from 5° to 70°), by angle:
Position (°2θ), I/Imax
13.85, 100
14.42, 91
18.06, 98
20.04, 48
26.80, 53
27.41, 48
36.59, 32
39.07, 69
40.39, 58
40.73, 77
41.65, 63
42.49, 44

Atomic structure:
```
data_LiAl
_chemical_formula_sum 'Li12 Al12'
_space_group_name_H-M_alt 'P 1'
_space_group_IT_number 1
_space_group_name_Hall 'P 1'
_cell_length_a 8.868
_cell_length_b 8.868
_cell_length_c 5.901
_cell_angle_alpha 90.00
_cell_angle_beta 90.00
_cell_angle_gamma 87.68
loop_
_atom_site_label
_atom_site_fract_x
_atom_site_fract_y
_atom_site_fract_z
Li1 0.014 0.486 0.750
Li2 0.194 0.194 0.000
Li3 0.211 0.789 0.891
Li4 0.289 0.711 0.391
Li5 0.306 0.306 0.500
Li6 0.486 0.014 0.250
Li7 0.514 0.986 0.750
Li8 0.694 0.694 0.500
Li9 0.711 0.289 0.609
Li10 0.789 0.211 0.109
Li11 0.806 0.806 0.000
Li12 0.986 0.514 0.250
Al1 0.003 0.225 0.463
Al2 0.027 0.973 0.209
Al3 0.225 0.003 0.537
Al4 0.275 0.497 0.037
Al5 0.473 0.527 0.709
Al6 0.497 0.275 0.963
Al7 0.503 0.725 0.037
Al8 0.527 0.473 0.291
Al9 0.725 0.503 0.963
Al10 0.775 0.997 0.463
Al11 0.973 0.027 0.791
Al12 0.997 0.775 0.537
```

---

Entry 8:
For Y3Tl5, DFT lattice parameters and positions (PBE) gives the simulated powder X-ray diffraction pattern in this record (Cu Kα (λ = 1.5418 Å)).
Peak positions follow from Bragg's law for the DFT cell and can differ from measured ones.

The 12 most intense peaks (2θ from 5° to 70°), by angle:
Position (°2θ), I/Imax
21.84, 15
32.85, 100
33.21, 21
33.86, 30
34.20, 24
35.23, 28
38.09, 17
38.40, 18
48.90, 12
49.66, 14
56.47, 12
66.04, 13

Atomic structure:
```
data_Y3Tl5
_chemical_formula_sum 'Y6 Tl10'
_space_group_name_H-M_alt 'P 1'
_space_group_IT_number 1
_space_group_name_Hall 'P 1'
_cell_length_a 6.521
_cell_length_b 6.521
_cell_length_c 10.589
_cell_angle_alpha 90.00
_cell_angle_beta 90.00
_cell_angle_gamma 77.23
loop_
_atom_site_label
_atom_site_fract_x
_atom_site_fract_y
_atom_site_fract_z
Y1 0.122 0.878 0.750
Y2 0.295 0.295 0.000
Y3 0.295 0.295 0.500
Y4 0.705 0.705 0.000
Y5 0.705 0.705 0.500
Y6 0.878 0.122 0.250
Tl1 0.016 0.430 0.750
Tl2 0.196 0.804 0.040
Tl3 0.196 0.804 0.460
Tl4 0.430 0.016 0.250
Tl5 0.492 0.508 0.250
Tl6 0.508 0.492 0.750
Tl7 0.570 0.984 0.750
Tl8 0.804 0.196 0.540
Tl9 0.804 0.196 0.960
Tl10 0.984 0.570 0.250
```

---

Entry 9:
For Pr3Sn5, DFT lattice parameters and positions (PBE) gives the simulated powder X-ray diffraction pattern in this record (Cu Kα (λ = 1.5418 Å)).
Peak positions follow from Bragg's law for the DFT cell and can differ from measured ones.

The 12 most intense peaks (2θ from 5° to 70°), by angle:
Position (°2θ), I/Imax
28.91, 17
32.39, 100
32.83, 34
33.37, 44
33.63, 38
34.90, 27
37.54, 30
37.93, 27
48.10, 17
55.74, 22
64.91, 16
66.54, 18

Atomic structure:
```
data_Pr3Sn5
_chemical_formula_sum 'Pr6 Sn10'
_space_group_name_H-M_alt 'P 1'
_space_group_IT_number 1
_space_group_name_Hall 'P 1'
_cell_length_a 6.601
_cell_length_b 6.601
_cell_length_c 10.741
_cell_angle_alpha 90.00
_cell_angle_beta 90.00
_cell_angle_gamma 77.67
loop_
_atom_site_label
_atom_site_fract_x
_atom_site_fract_y
_atom_site_fract_z
Pr1 0.137 0.863 0.750
Pr2 0.298 0.298 0.000
Pr3 0.298 0.298 0.500
Pr4 0.702 0.702 0.000
Pr5 0.702 0.702 0.500
Pr6 0.863 0.137 0.250
Sn1 0.002 0.419 0.750
Sn2 0.179 0.821 0.046
Sn3 0.179 0.821 0.454
Sn4 0.419 0.002 0.250
Sn5 0.474 0.526 0.250
Sn6 0.526 0.474 0.750
Sn7 0.581 0.998 0.750
Sn8 0.821 0.179 0.546
Sn9 0.821 0.179 0.954
Sn10 0.998 0.581 0.250
```

---

Entry 10:
For HoAsO4, DFT lattice parameters and positions (PBE) gives the simulated powder X-ray diffraction pattern in this record (Cu Kα (λ = 1.5418 Å)).
Peak positions follow from Bragg's law for the DFT cell and can differ from measured ones.

The 12 most intense peaks (2θ from 5° to 70°), by angle:
Position (°2θ), I/Imax
18.73, 20
25.00, 100
33.39, 74
35.65, 24
40.57, 9
44.71, 6
48.24, 7
49.64, 61
51.30, 15
57.89, 15
62.60, 18
64.31, 13

Atomic structure:
```
data_HoAsO4
_chemical_formula_sum 'Ho2 As2 O8'
_space_group_name_H-M_alt 'P 1'
_space_group_IT_number 1
_space_group_name_Hall 'P 1'
_cell_length_a 5.952
_cell_length_b 5.952
_cell_length_c 5.952
_cell_angle_alpha 106.49
_cell_angle_beta 106.49
_cell_angle_gamma 115.61
loop_
_atom_site_label
_atom_site_fract_x
_atom_site_fract_y
_atom_site_fract_z
Ho1 0.375 0.625 0.750
Ho2 0.625 0.375 0.250
As1 0.125 0.875 0.250
As2 0.875 0.125 0.750
O1 0.129 0.697 0.432
O2 0.235 0.303 0.932
O3 0.303 0.235 0.432
O4 0.303 0.871 0.068
O5 0.697 0.129 0.932
O6 0.697 0.765 0.568
O7 0.765 0.697 0.068
O8 0.871 0.303 0.568
```

---

Entry 11:
For YPt, DFT lattice parameters and positions (PBE) gives the simulated powder X-ray diffraction pattern in this record (Cu Kα (λ = 1.5418 Å)).
Peak positions follow from Bragg's law for the DFT cell and can differ from measured ones.

The 12 most intense peaks (2θ from 5° to 70°), by angle:
Position (°2θ), I/Imax
20.26, 41
25.23, 47
32.08, 64
34.49, 28
35.98, 97
39.58, 46
39.92, 100
41.65, 17
50.66, 19
54.54, 19
66.13, 17
69.46, 33

Atomic structure:
```
data_YPt
_chemical_formula_sum 'Y4 Pt4'
_space_group_name_H-M_alt 'P 1'
_space_group_IT_number 1
_space_group_name_Hall 'P 1'
_cell_length_a 7.057
_cell_length_b 4.554
_cell_length_c 5.594
_cell_angle_alpha 90.00
_cell_angle_beta 90.00
_cell_angle_gamma 90.00
loop_
_atom_site_label
_atom_site_fract_x
_atom_site_fract_y
_atom_site_fract_z
Y1 0.181 0.250 0.140
Y2 0.319 0.750 0.640
Y3 0.681 0.250 0.360
Y4 0.819 0.750 0.860
Pt1 0.043 0.250 0.653
Pt2 0.457 0.750 0.153
Pt3 0.543 0.250 0.847
Pt4 0.957 0.750 0.347
```